The following is a theoretical powder X-ray diffraction pattern of Cr2Ag2O7. It was derived from the PBE+U geometry in Alexandria, using Cu Kα (weighted mean of Kα1 and Kα2).
Peak positions follow from Bragg's law for the DFT cell and can differ from measured ones.

Most intense lines, 2θ = 10–90°, sorted by position:
| h k l | 2θ/deg | I_rel |
| --- | --- | --- |
| 0 2 1 | 25.53 | 64.4 |
| 0 0 2 | 26.30 | 84.5 |
| 1 2 1 | 26.55 | 87.2 |
| 2 0 1 | 28.01 | 100.0 |
| 2 0 -1 | 29.79 | 67.7 |
| 0 2 -1 | 35.75 | 27.0 |

Atomic structure:
Cell: 7.0533 7.0994 7.5142 Å, 64.73 82.15 80.49°
Sites, in units of the cell vectors:
Cr (0.1201, 0.1310, 0.1882)
Cr (0.3467, 0.2658, 0.7475)
Cr (0.6533, 0.7342, 0.2525)
Cr (0.8799, 0.8690, 0.8118)
Ag (0.1682, 0.6090, 0.2698)
Ag (0.3653, 0.7881, 0.6681)
Ag (0.6347, 0.2119, 0.3319)
Ag (0.8318, 0.3910, 0.7302)
O (0.1012, 0.7712, 0.8855)
O (0.1237, 0.8935, 0.3663)
O (0.1538, 0.4124, 0.6403)
O (0.2128, 0.2875, 0.2522)
O (0.2707, 0.0991, 0.9895)
O (0.4462, 0.1175, 0.6308)
O (0.4968, 0.4232, 0.7489)
O (0.5032, 0.5768, 0.2511)
O (0.5538, 0.8825, 0.3692)
O (0.7293, 0.9009, 0.0105)
O (0.7872, 0.7125, 0.7478)
O (0.8462, 0.5876, 0.3597)
O (0.8763, 0.1065, 0.6337)
O (0.8988, 0.2288, 0.1145)